Record 1
For Li8MnO4F2, a cell relaxed with GGA+U gives the computed powder diffractogram in this record (Cu Kα (λ = 1.5418 Å)).
Kinematic intensities with the Lorentz-polarization factor, no thermal factor.

Most intense lines, 10 to 80 degrees two-theta, by intensity:
2θ (°)	intensity
36.66	100.0
19.19	66.9
21.64	60.8
36.30	48.5
19.49	40.6
47.25	30.6
16.71	29.1
29.03	23.6
33.75	22.3
58.07	21.2

Atomic structure:
```
data_Li8MnO4F2
_symmetry_space_group_name_H-M 'P 1'
_symmetry_Int_Tables_number 1
_cell_length_a 5.5116
_cell_length_b 5.5420
_cell_length_c 6.1626
_cell_angle_alpha 63.93
_cell_angle_beta 64.06
_cell_angle_gamma 60.88
loop_
_symmetry_equiv_pos_as_xyz
'x,y,z'
loop_
_atom_site_label
_atom_site_type_symbol
_atom_site_fract_x
_atom_site_fract_y
_atom_site_fract_z
_atom_site_occupancy
Li1 Li 0.0352 0.2462 0.3409 1
Li2 Li 0.2247 0.5890 0.9937 1
Li3 Li 0.2885 0.1110 0.6431 1
Li4 Li 0.3905 0.5157 0.3713 1
Li5 Li 0.6095 0.4843 0.6287 1
Li6 Li 0.7115 0.8890 0.3569 1
Li7 Li 0.7753 0.4110 0.0063 1
Li8 Li 0.9648 0.7538 0.6591 1
Mn1 Mn 0.5000 0.0000 0.0000 1
O1 O 0.2600 0.3988 0.7584 1
O2 O 0.4218 0.2445 0.2395 1
O3 O 0.5782 0.7555 0.7605 1
O4 O 0.7400 0.6012 0.2416 1
F1 F 0.0793 0.8994 0.2900 1
F2 F 0.9207 0.1006 0.7100 1
```



Record 2
For Li6MnO4F, a cell relaxed with GGA+U gives the computed powder diffractogram in this record (Cu Kα (λ = 1.5418 Å)).
Kinematic intensities with the Lorentz-polarization factor, no thermal factor.

Most intense lines, 10 to 80 degrees two-theta, by intensity:
2θ (°)	intensity
18.61	100.0
26.44	96.1
22.47	91.5
22.05	90.1
36.25	50.0
44.58	45.8
42.39	45.6
43.91	44.0
54.43	35.4
58.03	22.1

Atomic structure:
```
data_Li6MnO4F
_symmetry_space_group_name_H-M 'P 1'
_symmetry_Int_Tables_number 1
_cell_length_a 4.9577
_cell_length_b 9.5403
_cell_length_c 5.3133
_cell_angle_alpha 90.00
_cell_angle_beta 116.24
_cell_angle_gamma 90.00
loop_
_symmetry_equiv_pos_as_xyz
'x,y,z'
loop_
_atom_site_label
_atom_site_type_symbol
_atom_site_fract_x
_atom_site_fract_y
_atom_site_fract_z
_atom_site_occupancy
Li1 Li 0.0611 0.0000 0.4069 1
Li2 Li 0.1224 0.3143 0.9809 1
Li3 Li 0.2060 0.7518 0.5008 1
Li4 Li 0.2919 0.2587 0.5319 1
Li5 Li 0.3189 0.4935 0.3680 1
Li6 Li 0.3191 0.7044 0.0080 1
Li7 Li 0.6809 0.2044 0.9920 1
Li8 Li 0.6811 0.9935 0.6320 1
Li9 Li 0.7081 0.7587 0.4681 1
Li10 Li 0.7940 0.2518 0.4992 1
Li11 Li 0.8776 0.8143 0.0191 1
Li12 Li 0.9389 0.5000 0.5931 1
Mn1 Mn 0.3022 0.9932 0.9940 1
Mn2 Mn 0.6978 0.4932 0.0060 1
O1 O 0.0472 0.8552 0.7202 1
O2 O 0.1470 0.1457 0.7360 1
O3 O 0.2723 0.5039 0.9754 1
O4 O 0.3476 0.8658 0.2913 1
O5 O 0.6524 0.3658 0.7087 1
O6 O 0.7277 0.0039 0.0246 1
O7 O 0.8530 0.6457 0.2640 1
O8 O 0.9528 0.3552 0.2798 1
F1 F 0.4411 0.1471 0.3295 1
F2 F 0.5589 0.6471 0.6705 1
```



Record 3
For Li3MnOF4, a cell relaxed with GGA+U gives the computed powder diffractogram in this record (Cu Kα (λ = 1.5418 Å)).
Kinematic intensities with the Lorentz-polarization factor, no thermal factor.

Most intense lines, 10 to 80 degrees two-theta, by intensity:
2θ (°)	intensity
26.52	100.0
18.08	63.5
37.33	47.3
27.24	44.1
23.47	39.7
42.62	37.5
17.14	32.8
48.60	31.0
43.18	19.0
66.59	17.4

Atomic structure:
```
data_Li3MnOF4
_symmetry_space_group_name_H-M 'P 1'
_symmetry_Int_Tables_number 1
_cell_length_a 5.2836
_cell_length_b 5.2836
_cell_length_c 6.7434
_cell_angle_alpha 126.84
_cell_angle_beta 126.84
_cell_angle_gamma 41.53
loop_
_symmetry_equiv_pos_as_xyz
'x,y,z'
loop_
_atom_site_label
_atom_site_type_symbol
_atom_site_fract_x
_atom_site_fract_y
_atom_site_fract_z
_atom_site_occupancy
Li1 Li 0.0000 0.0000 0.0000 1
Li2 Li 0.3603 0.3603 0.1374 1
Li3 Li 0.6189 0.6189 0.7570 1
Mn1 Mn 0.8191 0.8191 0.4326 1
O1 O 0.3540 0.3540 0.4304 1
F1 F 0.0943 0.0943 0.8103 1
F2 F 0.5474 0.5474 0.1130 1
F3 F 0.7663 0.7663 0.6677 1
F4 F 0.8537 0.8537 0.1527 1
```